This entry pairs a crystal structure of Pt with its computed X-ray powder pattern. Radiation: a wavelength of 1.5418 Å. Structure: a GGA-PBE-relaxed structure.
No peak broadening, texture or thermal motion is included.

Peak list (10 most intense, 10° ≤ 2θ ≤ 90°, sorted by position)
- 2θ = 37.9°, I 35.6
- 2θ = 38.7°, I 49.8
- 2θ = 41.7°, I 72.7
- 2θ = 42.8°, I 100.0
- 2θ = 55.3°, I 24.3
- 2θ = 66.9°, I 18.8
- 2θ = 72.1°, I 14.7
- 2θ = 72.8°, I 21.2
- 2θ = 80.0°, I 23.0
- 2θ = 84.2°, I 19.9

Atomic structure:
abc: 2.7132 4.9006 4.6536
angles: 90.00 90.00 90.00
Element x y z (fractional)
Pt 0.0000 0.1513 0.2500
Pt 0.0000 0.8487 0.7500
Pt 0.5000 0.3487 0.7500
Pt 0.5000 0.6513 0.2500

This entry pairs a crystal structure of Pt with its computed X-ray powder pattern. Radiation: a wavelength of 1.5418 Å. Structure: a GGA-PBE-relaxed structure.
No peak broadening, texture or thermal motion is included.

Peak list (5 most intense, 10° ≤ 2θ ≤ 90°, sorted by position)
- 2θ = 39.4°, I 100.0
- 2θ = 45.8°, I 49.2
- 2θ = 66.8°, I 32.4
- 2θ = 80.4°, I 39.1
- 2θ = 84.8°, I 11.6

Atomic structure:
abc: 3.9613 3.9613 3.9613
angles: 90.00 90.00 90.00
Element x y z (fractional)
Pt 0.0000 0.0000 0.0000
Pt 0.0000 0.5000 0.5000
Pt 0.5000 0.0000 0.5000
Pt 0.5000 0.5000 0.0000

This entry pairs a crystal structure of Pt with its computed X-ray powder pattern. Radiation: a wavelength of 1.5418 Å. Structure: a GGA-PBE-relaxed structure.
No peak broadening, texture or thermal motion is included.

Peak list (10 most intense, 10° ≤ 2θ ≤ 90°, sorted by position)
- 2θ = 38.8°, I 74.0
- 2θ = 40.0°, I 100.0
- 2θ = 44.5°, I 23.9
- 2θ = 46.5°, I 52.8
- 2θ = 66.3°, I 29.6
- 2θ = 67.8°, I 17.3
- 2θ = 79.8°, I 17.2
- 2θ = 81.0°, I 18.2
- 2θ = 81.8°, I 26.5
- 2θ = 84.8°, I 16.0

Atomic structure:
abc: 2.7630 2.7630 42.7347
angles: 90.00 90.00 90.00
Element x y z (fractional)
Pt 0.2500 0.2500 0.0236
Pt 0.2500 0.2500 0.1180
Pt 0.2500 0.2500 0.2126
Pt 0.2500 0.2500 0.3072
Pt 0.2500 0.2500 0.6465
Pt 0.2500 0.2500 0.7400
Pt 0.2500 0.2500 0.8347
Pt 0.2500 0.2500 0.9293
Pt 0.7500 0.7500 0.0707
Pt 0.7500 0.7500 0.1653
Pt 0.7500 0.7500 0.2600
Pt 0.7500 0.7500 0.3535
Pt 0.7500 0.7500 0.6928
Pt 0.7500 0.7500 0.7874
Pt 0.7500 0.7500 0.8820
Pt 0.7500 0.7500 0.9764

This entry pairs a crystal structure of RbPt with its computed X-ray powder pattern. Radiation: a wavelength of 1.5418 Å. Structure: a GGA-PBE-relaxed structure.
No peak broadening, texture or thermal motion is included.

Peak list (10 most intense, 10° ≤ 2θ ≤ 90°, sorted by position)
- 2θ = 16.2°, I 21.7
- 2θ = 32.7°, I 29.2
- 2θ = 32.9°, I 30.8
- 2θ = 36.9°, I 100.0
- 2θ = 47.1°, I 23.0
- 2θ = 58.8°, I 16.6
- 2θ = 61.2°, I 23.1
- 2θ = 68.9°, I 24.4
- 2θ = 71.4°, I 14.7
- 2θ = 90.0°, I 8.5

Atomic structure:
abc: 3.1432 3.1432 5.4694
angles: 90.00 90.00 120.00
Element x y z (fractional)
Rb 0.0000 0.0000 0.0000
Pt 0.3333 0.6667 0.5000

This entry pairs a crystal structure of RbPtS with its computed X-ray powder pattern. Radiation: a wavelength of 1.5418 Å. Structure: a GGA-PBE-relaxed structure.
No peak broadening, texture or thermal motion is included.

Peak list (10 most intense, 10° ≤ 2θ ≤ 90°, sorted by position)
- 2θ = 15.6°, I 38.1
- 2θ = 26.1°, I 15.7
- 2θ = 27.6°, I 100.0
- 2θ = 31.5°, I 33.6
- 2θ = 33.2°, I 74.1
- 2θ = 45.0°, I 39.2
- 2θ = 50.2°, I 18.1
- 2θ = 53.6°, I 16.3
- 2θ = 56.0°, I 39.0
- 2θ = 57.1°, I 15.8

Atomic structure:
abc: 4.0278 4.0278 17.0475
angles: 90.00 90.00 120.00
Element x y z (fractional)
Rb 0.0000 0.0000 0.0000
Rb 0.3333 0.6667 0.6667
Rb 0.6667 0.3333 0.3333
Pt 0.0000 0.0000 0.5045
Pt 0.3333 0.6667 0.1711
Pt 0.6667 0.3333 0.8378
S 0.0000 0.0000 0.1893
S 0.3333 0.6667 0.8560
S 0.6667 0.3333 0.5227

This entry pairs a crystal structure of Rb2PtSe2S with its computed X-ray powder pattern. Radiation: a wavelength of 1.5418 Å. Structure: a GGA-PBE-relaxed structure.
No peak broadening, texture or thermal motion is included.

Peak list (10 most intense, 10° ≤ 2θ ≤ 90°, sorted by position)
- 2θ = 14.0°, I 41.4
- 2θ = 14.8°, I 70.6
- 2θ = 16.0°, I 86.4
- 2θ = 25.6°, I 100.0
- 2θ = 26.3°, I 30.9
- 2θ = 27.4°, I 55.3
- 2θ = 27.6°, I 32.0
- 2θ = 31.0°, I 28.3
- 2θ = 37.9°, I 32.1
- 2θ = 40.1°, I 30.1

Atomic structure:
abc: 7.4100 7.4100 9.7248
angles: 112.61 112.61 56.09
Element x y z (fractional)
Rb 0.0908 0.0908 0.3701
Rb 0.3078 0.3078 0.1720
Rb 0.6922 0.6922 0.8280
Rb 0.9092 0.9092 0.6299
Pt 0.4097 0.4097 0.8521
Pt 0.5903 0.5903 0.1479
Se 0.2054 0.2054 0.7628
Se 0.3881 0.3881 0.5915
Se 0.6119 0.6119 0.4085
Se 0.7946 0.7946 0.2372
S 0.2381 0.7619 0.0000
S 0.7619 0.2381 0.0000